Theoretical powder X-ray diffraction pattern of Mn4Be3Si3TeO12 for CuKα, from a cell relaxed with GGA+U.
Intensities are scaled so that the largest is 100.

Structure:
```
data_Mn4Be3Si3TeO12
_chemical_formula_sum 'Mn8 Be6 Si6 Te2 O24'
_cell_length_a 8.524
_cell_length_b 8.524
_cell_length_c 8.524
_cell_angle_alpha 90.00
_cell_angle_beta 90.00
_cell_angle_gamma 90.00
_space_group_name_H-M_alt 'P -4 3 n'
_space_group_IT_number 218
_space_group_name_Hall 'P -4n 2 3'
loop_
_atom_site_label
_atom_site_fract_x
_atom_site_fract_y
_atom_site_fract_z
_atom_site_occupancy
Mn1 0.188 0.188 0.188 1
Be1 0.000 0.250 0.500 1
Si1 0.000 0.500 0.250 1
Te1 0.000 0.000 0.000 1
O1 0.073 0.355 0.645 1
```

Top 12 peaks for 10° ≤ 2θ ≤ 80°, most intense first:
2θ = 25.60°, I 100, (2 1 1)
2θ = 45.13°, I 58, (3 3 0)
2θ = 39.56°, I 39, (3 2 1)
2θ = 67.77°, I 24, (5 3 2)
2θ = 29.64°, I 23, (2 2 0)
2θ = 14.70°, I 14, (1 1 0)
2θ = 65.73°, I 12, (6 0 0)
2θ = 54.92°, I 11, (5 1 0)
2θ = 47.71°, I 7, (4 2 0)
2θ = 61.54°, I 7, (4 4 0)
2θ = 52.60°, I 6, (4 2 2)
2θ = 75.67°, I 6, (6 3 1)